(1)
Calculated XRD peak list
Compound: TiAu6
Radiation: Cu Kα
Structure: a DFT-relaxed cell (PBE, Alexandria)
Kinematic intensities with the Lorentz-polarization factor, no thermal factor.

Cell and atoms:
Cell: 7.4361 7.4361 7.4361 Å, 90.00 90.00 90.00°
Element x y z (fractional)
Ti 0.0000 0.0000 0.0000
Ti 0.5000 0.5000 0.5000
Au 0.0000 0.2500 0.5000
Au 0.0000 0.5000 0.2500
Au 0.0000 0.5000 0.7500
Au 0.0000 0.7500 0.5000
Au 0.2500 0.0000 0.5000
Au 0.2500 0.5000 0.0000
Au 0.5000 0.0000 0.2500
Au 0.5000 0.0000 0.7500
Au 0.5000 0.2500 0.0000
Au 0.5000 0.7500 0.0000
Au 0.7500 0.0000 0.5000
Au 0.7500 0.5000 0.0000

Most intense lines, 5 to 70 degrees two-theta, in order of falling intensity:
h k l, 2theta, I (rel.)
1 1 0, 16.86, 100
2 1 1, 29.42, 90
2 2 2, 42.09, 77
3 2 1, 45.65, 55
4 0 0, 49.00, 43
2 0 0, 23.93, 37
3 1 0, 38.28, 28
5 1 0, 63.83, 20
2 2 0, 34.10, 19
4 1 1, 52.19, 18

(2)
Calculated XRD peak list
Compound: TiTlAu
Radiation: Cu Kα
Structure: a DFT-relaxed cell (PBE, Alexandria)
Kinematic intensities with the Lorentz-polarization factor, no thermal factor.

Cell and atoms:
Cell: 3.1938 6.3764 6.9924 Å, 65.31 90.00 75.51°
Element x y z (fractional)
Ti 0.0329 0.4332 0.2038
Ti 0.9671 0.5668 0.7962
Tl 0.3507 0.7999 0.4045
Tl 0.6493 0.2001 0.5955
Au 0.3408 0.8183 0.9608
Au 0.6592 0.1817 0.0392

Most intense lines, 5 to 70 degrees two-theta, in order of falling intensity:
h k l, 2theta, I (rel.)
0 1 -2, 38.40, 100
1 2 0, 37.13, 82
0 2 2, 32.43, 42
1 0 0, 29.09, 27
0 2 0, 32.14, 22
1 3 -2, 67.78, 21
0 0 2, 28.30, 20
0 1 0, 15.91, 17
1 4 0, 65.54, 14
0 3 0, 49.07, 14

(3)
Calculated XRD peak list
Compound: Ti3TlAu
Radiation: Cu Kα
Structure: a DFT-relaxed cell (PBE, Alexandria)
Kinematic intensities with the Lorentz-polarization factor, no thermal factor.

Cell and atoms:
Cell: 4.9066 4.9066 4.9066 Å, 90.00 90.00 90.00°
Element x y z (fractional)
Ti 0.0000 0.0000 0.5000
Ti 0.0000 0.5000 0.0000
Ti 0.5000 0.0000 0.0000
Tl 0.5000 0.5000 0.5000
Au 0.0000 0.0000 0.0000

Most intense lines, 5 to 70 degrees two-theta, in order of falling intensity:
h k l, 2theta, I (rel.)
1 1 0, 25.68, 100
2 0 0, 36.63, 48
2 1 1, 45.27, 46
2 2 0, 52.77, 33
3 1 0, 59.58, 21
2 2 2, 65.95, 11
1 1 1, 31.58, 7
3 1 1, 62.81, 2
1 0 0, 18.08, 2
2 1 0, 41.14, 1

(4)
Calculated XRD peak list
Compound: Ti6TlAu
Radiation: Cu Kα
Structure: a DFT-relaxed cell (PBE, Alexandria)
Kinematic intensities with the Lorentz-polarization factor, no thermal factor.

Cell and atoms:
Cell: 5.7976 5.7976 4.8448 Å, 90.00 90.00 120.00°
Element x y z (fractional)
Ti 0.0016 0.5008 0.0000
Ti 0.1673 0.3346 0.5000
Ti 0.1673 0.8327 0.5000
Ti 0.4992 0.5008 0.0000
Ti 0.4992 0.9984 0.0000
Ti 0.6654 0.8327 0.5000
Tl 0.0000 0.0000 0.0000
Au 0.6667 0.3333 0.5000

Most intense lines, 5 to 70 degrees two-theta, in order of falling intensity:
h k l, 2theta, I (rel.)
2 0 1, 40.47, 100
1 0 1, 25.55, 65
0 0 2, 37.11, 28
1 1 0, 30.85, 27
1 0 0, 17.66, 24
2 0 0, 35.77, 24
2 1 1, 51.73, 20
2 0 3, 69.17, 20
2 2 0, 64.27, 16
1 1 2, 49.01, 16

What did the second record say?
Calculated XRD peak list
Compound: TiTlAu
Radiation: Cu Kα
Structure: a DFT-relaxed cell (PBE, Alexandria)
Kinematic intensities with the Lorentz-polarization factor, no thermal factor.

Cell and atoms:
Cell: 3.1938 6.3764 6.9924 Å, 65.31 90.00 75.51°
Element x y z (fractional)
Ti 0.0329 0.4332 0.2038
Ti 0.9671 0.5668 0.7962
Tl 0.3507 0.7999 0.4045
Tl 0.6493 0.2001 0.5955
Au 0.3408 0.8183 0.9608
Au 0.6592 0.1817 0.0392

Most intense lines, 5 to 70 degrees two-theta, in order of falling intensity:
h k l, 2theta, I (rel.)
0 1 -2, 38.40, 100
1 2 0, 37.13, 82
0 2 2, 32.43, 42
1 0 0, 29.09, 27
0 2 0, 32.14, 22
1 3 -2, 67.78, 21
0 0 2, 28.30, 20
0 1 0, 15.91, 17
1 4 0, 65.54, 14
0 3 0, 49.07, 14